# MoO3
Calculated powder diffractogram, a wavelength of 1.5418 Å. Input: the PBE+U geometry in Alexandria.
No peak broadening, texture or thermal motion is included.

Principal peaks in the range 10° ≤ 2θ ≤ 90°, in order of rising 2θ:
2θ (°), I/Imax, hkl
20.42, 49, 1 0 0
27.96, 100, 1 0 1
35.76, 20, 1 1 0
45.99, 25, 2 0 1
53.41, 27, 1 1 2
59.59, 23, 2 1 1
63.09, 9, 1 0 3
64.25, 10, 3 0 0
82.58, 9, 3 1 1
85.67, 10, 1 2 3

Crystal structure
Lattice parameters (Å, degrees): 5.0217 5.0217 4.6983 90.00 90.00 120.00
Sites, in units of the cell vectors:
Mo (0.3333, 0.6667, 0.0000)
Mo (0.6667, 0.3333, 0.5000)
O (0.0008, 0.6246, 0.1841)
O (0.3754, 0.3762, 0.1841)
O (0.3762, 0.0008, 0.6841)
O (0.6238, 0.9992, 0.1841)
O (0.6246, 0.6238, 0.6841)
O (0.9992, 0.3754, 0.6841)